No. 1
# Dy2SeOF2
Calculated powder diffractogram, Cu Kα (weighted mean of Kα1 and Kα2). Input: a DFT-relaxed cell (GGA-PBE, the Materials Project).
Peak positions follow from Bragg's law for the DFT cell and can differ from measured ones.

Atomic structure:
abc: 13.4310 13.4310 3.7421
angles: 90.00 90.00 120.00
Space group P6_3/m (No. 176)
Inequivalent atoms, fractional coordinates:
Dy (0.0552, 0.7662, 0.2500)
Dy (0.1165, 0.5144, 0.2500)
Se (0.2064, 0.7191, 0.7500)
O (0.0142, 0.4266, 0.7500)
F (0.0667, 0.3142, 0.2500)
F (0.1012, 0.8940, 0.7500)

The 10 most intense peaks (2θ = 10–80°), in order of rising 2θ:
(1 1 0), d 6.716, intensity 38
(3 1 0), d 3.226, intensity 100
(2 1 1), d 2.850, intensity 98
(3 0 1), d 2.693, intensity 75
(2 2 1), d 2.499, intensity 44
(1 3 1), d 2.443, intensity 40
(0 0 2), d 1.871, intensity 29
(2 5 0), d 1.863, intensity 44
(5 2 1), d 1.667, intensity 39
(2 5 2), d 1.320, intensity 28

---

No. 2
# Ga
Calculated powder diffractogram, Cu Kα (weighted mean of Kα1 and Kα2). Input: a DFT-relaxed cell (GGA-PBE, the Materials Project).
Peak positions follow from Bragg's law for the DFT cell and can differ from measured ones.

Atomic structure:
abc: 10.654 13.703 5.276
angles: 90.00 90.00 90.00
Space group Cmcm (No. 63)
Inequivalent atoms, fractional coordinates:
Ga (0.000, 0.001, 0.250)
Ga (0.000, 0.214, 0.750)
Ga (0.000, 0.393, 0.003)
Ga (0.126, 0.206, 0.250)
Ga (0.223, 0.449, 0.750)
Ga (0.228, 0.139, 0.750)

The 10 most intense peaks (2θ = 10–80°), in order of rising 2θ:
(3 3 0), d 2.804, intensity 52
(4 0 0), d 2.663, intensity 48
(1 5 0), d 2.654, intensity 93
(0 0 2), d 2.638, intensity 62
(1 1 2), d 2.517, intensity 55
(3 3 1), d 2.476, intensity 52
(4 4 1), d 1.954, intensity 100
(2 6 1), d 1.950, intensity 53
(2 4 2), d 1.946, intensity 60
(4 4 3), d 1.349, intensity 45

---

No. 3
# CuCSN
Calculated powder diffractogram, Cu Kα (weighted mean of Kα1 and Kα2). Input: a DFT-relaxed cell (GGA-PBE, the Materials Project).
Peak positions follow from Bragg's law for the DFT cell and can differ from measured ones.

Atomic structure:
abc: 3.8400 3.8400 10.9532
angles: 90.00 90.00 120.00
Space group P6_3mc (No. 186)
Inequivalent atoms, fractional coordinates:
Cu (0.3333, 0.6667, 0.0000)
C (0.3333, 0.6667, 0.2802)
S (0.3333, 0.6667, 0.4320)
N (0.3333, 0.6667, 0.1729)

The 10 most intense peaks (2θ = 10–80°), in order of rising 2θ:
(0 0 2), d 5.477, intensity 100
(1 0 0), d 3.326, intensity 69
(1 0 1), d 3.182, intensity 72
(1 0 2), d 2.843, intensity 30
(0 0 4), d 2.738, intensity 20
(1 0 3), d 2.459, intensity 34
(1 1 0), d 1.920, intensity 49
(1 0 5), d 1.829, intensity 34
(1 1 2), d 1.812, intensity 32
(1 0 7), d 1.416, intensity 21

---

No. 4
# Hg3P2O8
Calculated powder diffractogram, Cu Kα (weighted mean of Kα1 and Kα2). Input: a DFT-relaxed cell (GGA-PBE, the Materials Project).
Peak positions follow from Bragg's law for the DFT cell and can differ from measured ones.

Atomic structure:
abc: 10.127 11.691 6.529
angles: 90.00 99.44 90.00
Space group P2_1/c (No. 14)
Inequivalent atoms, fractional coordinates:
Hg (0.039, 0.119, 0.180)
Hg (0.305, 0.100, 0.669)
Hg (0.347, 0.671, 0.580)
P (0.106, 0.634, 0.900)
P (0.389, 0.099, 0.188)
O (0.023, 0.206, 0.586)
O (0.084, 0.560, 0.696)
O (0.138, 0.561, 0.097)
O (0.223, 0.717, 0.866)
O (0.283, 0.093, 0.983)
O (0.298, 0.137, 0.351)
O (0.449, 0.524, 0.740)
O (0.499, 0.686, 0.318)

The 10 most intense peaks (2θ = 10–80°), in order of rising 2θ:
(1 2 -1), d 4.142, intensity 62
(1 3 0), d 3.631, intensity 22
(3 0 0), d 3.331, intensity 43
(2 2 1), d 3.106, intensity 100
(3 1 -1), d 3.068, intensity 25
(1 0 2), d 2.930, intensity 27
(0 4 0), d 2.923, intensity 24
(3 4 0), d 2.197, intensity 15
(1 5 1), d 2.122, intensity 15
(2 1 -3), d 2.069, intensity 21